(1)
# Hf2ZrFe
Simulated X-ray powder pattern, copper Kα. Input: a crystal structure in Alexandria, relaxed with GGA-PBE.
Neutral-atom scattering factors, no anomalous dispersion.

Cell and atoms:
Unit cell a=6.2096 b=8.8590 c=5.7351 alpha=90.00 beta=90.00 gamma=90.00
Space group Pnma (No. 62)
Symmetry-distinct sites (fractional):
1 Hf 0.1802 0.0615 0.1688
2 Zr 0.0357 0.2500 0.6413
3 Fe 0.1145 0.7500 0.9301

Peak list (12 most intense, 10° ≤ 2θ ≤ 90°, sorted by position)
two_theta, I_rel, hkl
32.8, 33, 2 0 1
34.2, 100, 0 3 1
34.4, 96, 1 0 2
35.3, 54, 2 2 0
36.0, 47, 1 1 2
37.2, 54, 1 3 1
38.7, 67, 2 2 1
40.2, 50, 1 2 2
42.2, 37, 2 3 0
46.7, 23, 3 0 1
59.5, 35, 1 3 3
63.8, 30, 3 3 2


(2)
# ZrTi2Nb4
Simulated X-ray powder pattern, copper Kα. Input: a crystal structure in Alexandria, relaxed with GGA-PBE.
Neutral-atom scattering factors, no anomalous dispersion.

Cell and atoms:
Unit cell a=3.4176 b=23.8810 c=3.2517 alpha=90.00 beta=90.00 gamma=90.00
Space group Cmmm (No. 65)
Symmetry-distinct sites (fractional):
1 Zr 0.0000 0.0000 0.0000
2 Ti 0.0000 0.2936 0.5000
3 Nb 0.0000 0.1451 0.0000
4 Nb 0.0000 0.4206 0.5000

Peak list (12 most intense, 10° ≤ 2θ ≤ 90°, sorted by position)
two_theta, I_rel, hkl
14.8, 19, 0 4 0
35.7, 61, 0 6 1
37.2, 100, 1 7 0
38.4, 98, 1 1 1
41.0, 35, 0 8 1
53.6, 18, 2 0 0
56.6, 15, 0 0 2
64.3, 19, 1 13 1
66.1, 19, 2 6 1
69.7, 43, 1 7 2
79.4, 14, 2 14 0
81.8, 18, 2 0 2